Entry 1:
InAg8Se6: computed powder XRD pattern (Cu Ka), based on DFT lattice parameters and positions (GGA-PBE).
Intensities are scaled so that the largest is 100.

Crystal structure
a = 8.1507 Å, b = 7.9813 Å, c = 11.0245 Å
α = 90.00°, β = 90.00°, γ = 90.00°
Space group Pmn2_1 (No. 31)
Unique sites:
In  0.0000  0.2454  0.0000 (multiplicity 2)
Ag  0.0000  0.8034  0.9555 (multiplicity 2)
Ag  0.0000  0.8760  0.5200 (multiplicity 2)
Ag  0.1936  0.9738  0.7486 (multiplicity 4)
Ag  0.2043  0.3901  0.3574 (multiplicity 4)
Ag  0.2367  0.3305  0.6266 (multiplicity 4)
Se  0.0000  0.2104  0.5007 (multiplicity 2)
Se  0.0000  0.4874  0.1599 (multiplicity 2)
Se  0.0000  0.7001  0.7345 (multiplicity 2)
Se  0.0000  0.9904  0.1454 (multiplicity 2)
Se  0.2352  0.7406  0.3740 (multiplicity 4)

Peak list (10 most intense, 2θ from 10° to 90°, sorted by position)
Position (°2θ)  I (rel.)  (hkl)
25.8  56  2 1 1
27.2  98  2 0 2
27.6  80  0 2 2
29.5  50  2 1 2
34.4  56  0 1 4
34.7  49  0 3 1
39.5  62  2 0 4
41.3  67  2 3 1
44.5  55  4 0 0
45.8  100  2 2 4

Entry 2:
Tb4Co3Ni: computed powder XRD pattern (Cu Ka), based on DFT lattice parameters and positions (GGA-PBE).
Intensities are scaled so that the largest is 100.

Crystal structure
a = 3.8882 Å, b = 3.9223 Å, c = 10.5019 Å
α = 90.00°, β = 90.00°, γ = 90.00°
Space group Pmm2 (No. 25)
Unique sites:
Tb  0.0000  0.0000  0.0000 (multiplicity 1)
Tb  0.0000  0.5000  0.4960 (multiplicity 1)
Tb  0.5000  0.0000  0.7126 (multiplicity 1)
Tb  0.5000  0.5000  0.2132 (multiplicity 1)
Co  0.0000  0.0000  0.2949 (multiplicity 1)
Co  0.5000  0.0000  0.4195 (multiplicity 1)
Co  0.5000  0.5000  0.9208 (multiplicity 1)
Ni  0.0000  0.5000  0.7890 (multiplicity 1)

Peak list (10 most intense, 2θ from 10° to 90°, sorted by position)
Position (°2θ)  I (rel.)  (hkl)
28.6  40  1 0 2
33.6  100  1 1 1
34.2  23  0 0 4
34.3  58  0 1 3
41.5  21  1 0 4
41.7  41  1 1 3
46.3  23  0 2 0
46.7  22  2 0 0
59.3  24  2 1 3
78.2  17  3 1 1